Simulated PXRD pattern of CsKHgO2 for Cu Kα (λ = 1.5418 Å), from a cell relaxed with GGA-PBE.
Kinematic intensities with the Lorentz-polarization factor, no thermal factor.

Largest 10 diffraction maxima, by angle, 2θ = 10–90°:
Position (°2θ)  intensity  hkl
12.27  33  0 2 0
15.13  100  0 0 1
23.74  52  2 0 0
24.69  53  0 4 0
28.27  81  2 0 1
29.09  43  0 4 1
34.52  26  2 4 0
37.89  81  2 4 1
39.66  29  0 4 2
59.01  20  2 8 1

Atomic structure:
Cell lengths 7.496, 14.422, 5.855 Å; angles 90.00, 90.00, 90.00 degrees
Space group Cmme (No. 67)
Unique sites:
Cs 0.000 0.250 0.088 [4 per cell]
K 0.250 0.000 0.500 [4 per cell]
Hg 0.000 0.000 0.000 [4 per cell]
O 0.000 0.098 0.758 [8 per cell]